Record 1
# Zn4Si2O9
Simulated X-ray diffraction stick pattern, Cu Kα (weighted mean of Kα1 and Kα2). Input: the GGA-PBE geometry in Alexandria.
Peak positions follow from Bragg's law for the DFT cell and can differ from measured ones.

Peak list (10 most intense, 5 to 70 degrees two-theta, sorted by position)
13.3°, d 6.646, intensity 100.0, (1 1 0); 16.2°, d 5.460, intensity 61.8, (0 2 0); 18.9°, d 4.689, intensity 54.6, (0 1 1); 21.2°, d 4.188, intensity 46.1, (2 0 0); 26.7°, d 3.338, intensity 50.7, (1 3 0); 28.6°, d 3.123, intensity 94.7, (2 1 1); 30.0°, d 2.980, intensity 38.3, (0 3 1); 34.6°, d 2.596, intensity 48.3, (0 0 2); 37.0°, d 2.428, intensity 68.2, (2 3 1); 63.6°, d 1.464, intensity 34.8, (2 3 3)

Crystal structure
```
data_Zn4Si2O9
_chemical_formula_sum 'Zn8 Si4 O18'
_cell_length_a 8.3757
_cell_length_b 10.9193
_cell_length_c 5.1918
_cell_angle_alpha 90.00
_cell_angle_beta 90.00
_cell_angle_gamma 90.00
_space_group_name_H-M_alt 'I m m 2'
_space_group_IT_number 44
loop_
_space_group_symop_operation_xyz
'x,y,z'
'-x,-y,z'
'-x,y,z'
'x,-y,z'
'x+1/2,y+1/2,z+1/2'
'-x+1/2,-y+1/2,z+1/2'
'-x+1/2,y+1/2,z+1/2'
'x+1/2,-y+1/2,z+1/2'
loop_
_atom_site_label
_atom_site_fract_x
_atom_site_fract_y
_atom_site_fract_z
Zn1 0.2064 0.1592 0.0000
Si1 0.0000 0.1461 0.4909
O1 0.0000 0.0000 0.4170
O2 0.0000 0.1696 0.8032
O3 0.1623 0.2044 0.3617
O4 0.2001 0.5000 0.4481
```

***

Record 2
# SbBr6
Simulated X-ray diffraction stick pattern, Cu Kα (weighted mean of Kα1 and Kα2). Input: the GGA-PBE geometry in Alexandria.
Peak positions follow from Bragg's law for the DFT cell and can differ from measured ones.

Peak list (10 most intense, 5 to 70 degrees two-theta, sorted by position)
14.3°, d 6.179, intensity 100.0, (2 0 1); 14.5°, d 6.124, intensity 64.1, (2 1 0); 20.9°, d 4.257, intensity 42.8, (1 0 2); 23.6°, d 3.772, intensity 46.1, (1 2 1); 25.0°, d 3.558, intensity 27.0, (4 1 1); 25.4°, d 3.503, intensity 72.5, (3 0 2); 30.8°, d 2.907, intensity 23.8, (6 0 0); 36.4°, d 2.468, intensity 34.6, (3 3 1); 39.0°, d 2.312, intensity 23.8, (4 3 1); 41.7°, d 2.168, intensity 29.9, (7 0 2)

Crystal structure
```
data_SbBr6
_chemical_formula_sum 'Sb4 Br24'
_cell_length_a 17.4404
_cell_length_b 8.6035
_cell_length_c 8.7788
_cell_angle_alpha 90.00
_cell_angle_beta 90.00
_cell_angle_gamma 90.00
_space_group_name_H-M_alt 'P n m a'
_space_group_IT_number 62
loop_
_space_group_symop_operation_xyz
'x,y,z'
'-x,-y,-z'
'-x+1/2,-y,z+1/2'
'x+1/2,y,-z+1/2'
'x+1/2,-y+1/2,-z+1/2'
'-x+1/2,y+1/2,z+1/2'
'-x,y+1/2,-z'
'x,-y+1/2,z'
loop_
_atom_site_label
_atom_site_fract_x
_atom_site_fract_y
_atom_site_fract_z
Sb1 0.1252 0.2500 0.2006
Br1 0.0490 0.2500 0.9581
Br2 0.0604 0.0327 0.3535
Br3 0.2386 0.7500 0.1218
Br4 0.2498 0.0462 0.1159
```

***

What did the first record say?
# Zn4Si2O9
Simulated X-ray diffraction stick pattern, Cu Kα (weighted mean of Kα1 and Kα2). Input: the GGA-PBE geometry in Alexandria.
Peak positions follow from Bragg's law for the DFT cell and can differ from measured ones.

Peak list (10 most intense, 5 to 70 degrees two-theta, sorted by position)
13.3°, d 6.646, intensity 100.0, (1 1 0); 16.2°, d 5.460, intensity 61.8, (0 2 0); 18.9°, d 4.689, intensity 54.6, (0 1 1); 21.2°, d 4.188, intensity 46.1, (2 0 0); 26.7°, d 3.338, intensity 50.7, (1 3 0); 28.6°, d 3.123, intensity 94.7, (2 1 1); 30.0°, d 2.980, intensity 38.3, (0 3 1); 34.6°, d 2.596, intensity 48.3, (0 0 2); 37.0°, d 2.428, intensity 68.2, (2 3 1); 63.6°, d 1.464, intensity 34.8, (2 3 3)

Crystal structure
```
data_Zn4Si2O9
_chemical_formula_sum 'Zn8 Si4 O18'
_cell_length_a 8.3757
_cell_length_b 10.9193
_cell_length_c 5.1918
_cell_angle_alpha 90.00
_cell_angle_beta 90.00
_cell_angle_gamma 90.00
_space_group_name_H-M_alt 'I m m 2'
_space_group_IT_number 44
loop_
_space_group_symop_operation_xyz
'x,y,z'
'-x,-y,z'
'-x,y,z'
'x,-y,z'
'x+1/2,y+1/2,z+1/2'
'-x+1/2,-y+1/2,z+1/2'
'-x+1/2,y+1/2,z+1/2'
'x+1/2,-y+1/2,z+1/2'
loop_
_atom_site_label
_atom_site_fract_x
_atom_site_fract_y
_atom_site_fract_z
Zn1 0.2064 0.1592 0.0000
Si1 0.0000 0.1461 0.4909
O1 0.0000 0.0000 0.4170
O2 0.0000 0.1696 0.8032
O3 0.1623 0.2044 0.3617
O4 0.2001 0.5000 0.4481
```